(1)
# Tb2Sm6ErTh
Theoretical X-ray powder pattern, λ = 1.5418 Å (Cu Kα). Input: a DFT-relaxed cell (PBE, Alexandria).

```
data_Tb2Sm6ErTh
_symmetry_space_group_name_H-M 'C 1 2/c 1'
_symmetry_Int_Tables_number 15
_symmetry_space_group_name_Hall '-C 2yc'
_cell_length_a 9.2673
_cell_length_b 14.9849
_cell_length_c 9.6893
_cell_angle_alpha 90.00
_cell_angle_beta 97.73
_cell_angle_gamma 90.00
loop_
_atom_site_label
_atom_site_type_symbol
_atom_site_fract_x
_atom_site_fract_y
_atom_site_fract_z
_atom_site_occupancy
Tb1 Tb 0.2471 0.0465 0.0497 1
Sm1 Sm 0.0649 0.1781 0.4429 1
Sm2 Sm 0.0955 0.3917 0.6185 1
Sm3 Sm 0.2073 0.2193 0.8134 1
Er1 Er 0.0000 0.4081 0.2500 1
Th1 Th 0.0000 0.0273 0.7500 1
```

Largest 10 diffraction maxima, by angle, 2θ from 5° to 70°:
2θ = 27.70°, intensity 25, hkl 2 2 -2
2θ = 28.43°, intensity 56, hkl 1 3 2
2θ = 30.02°, intensity 60, hkl 3 1 -1
2θ = 30.37°, intensity 58, hkl 0 2 3
2θ = 31.09°, intensity 77, hkl 2 2 2
2θ = 31.41°, intensity 100, hkl 1 5 0
2θ = 32.41°, intensity 32, hkl 1 5 -1
2θ = 33.04°, intensity 21, hkl 3 1 -2
2θ = 33.58°, intensity 37, hkl 1 3 -3
2θ = 34.09°, intensity 20, hkl 2 2 -3

---

(2)
# Tb2SmEr2Th2
Theoretical X-ray powder pattern, λ = 1.5418 Å (Cu Kα). Input: a DFT-relaxed cell (PBE, Alexandria).

```
data_Tb2SmEr2Th2
_symmetry_space_group_name_H-M 'C 1 2/m 1'
_symmetry_Int_Tables_number 12
_symmetry_space_group_name_Hall '-C 2y'
_cell_length_a 12.4469
_cell_length_b 5.9310
_cell_length_c 6.1993
_cell_angle_alpha 90.00
_cell_angle_beta 100.88
_cell_angle_gamma 90.00
loop_
_atom_site_label
_atom_site_type_symbol
_atom_site_fract_x
_atom_site_fract_y
_atom_site_fract_z
_atom_site_occupancy
Tb1 Tb 0.0753 0.0000 0.3107 1
Sm1 Sm 0.0000 0.5000 0.0000 1
Er1 Er 0.1464 0.5000 0.5763 1
Th1 Th 0.2116 0.0000 0.8764 1
```

Largest 10 diffraction maxima, by angle, 2θ from 5° to 70°:
2θ = 30.14°, intensity 100, hkl 0 2 0
2θ = 32.39°, intensity 81, hkl 3 1 1
2θ = 32.65°, intensity 78, hkl 1 1 -2
2θ = 43.15°, intensity 37, hkl 4 2 -1
2θ = 54.80°, intensity 19, hkl 7 1 0
2θ = 54.96°, intensity 18, hkl 3 3 1
2θ = 55.13°, intensity 18, hkl 1 3 -2
2θ = 55.31°, intensity 17, hkl 5 1 -3
2θ = 59.46°, intensity 13, hkl 2 2 3
2θ = 62.66°, intensity 12, hkl 0 4 0

---

(3)
# TbSm2Er2Tm2
Theoretical X-ray powder pattern, λ = 1.5418 Å (Cu Kα). Input: a DFT-relaxed cell (PBE, Alexandria).

```
data_TbSm2Er2Tm2
_symmetry_space_group_name_H-M 'C 1 2/m 1'
_symmetry_Int_Tables_number 12
_symmetry_space_group_name_Hall '-C 2y'
_cell_length_a 11.6098
_cell_length_b 3.4956
_cell_length_c 11.7167
_cell_angle_alpha 90.00
_cell_angle_beta 109.20
_cell_angle_gamma 90.00
loop_
_atom_site_label
_atom_site_type_symbol
_atom_site_fract_x
_atom_site_fract_y
_atom_site_fract_z
_atom_site_occupancy
Tb1 Tb 0.0000 0.0000 0.0000 1
Sm1 Sm 0.1712 0.5000 0.5842 1
Er1 Er 0.0504 0.5000 0.2700 1
Tm1 Tm 0.2257 0.0000 0.8630 1
```

Largest 10 diffraction maxima, by angle, 2θ from 5° to 70°:
2θ = 28.76°, intensity 50, hkl 1 1 1
2θ = 30.92°, intensity 66, hkl 4 0 -1
2θ = 31.06°, intensity 78, hkl 2 0 -4
2θ = 32.74°, intensity 100, hkl 1 1 2
2θ = 33.45°, intensity 52, hkl 2 0 3
2θ = 35.55°, intensity 71, hkl 3 1 -2
2θ = 38.34°, intensity 27, hkl 3 1 -3
2θ = 52.15°, intensity 35, hkl 5 1 1
2θ = 54.41°, intensity 23, hkl 1 1 -6
2θ = 62.17°, intensity 42, hkl 2 2 -4

---

(4)
# Tb2SmEr2Tm2
Theoretical X-ray powder pattern, λ = 1.5418 Å (Cu Kα). Input: a DFT-relaxed cell (PBE, Alexandria).

```
data_Tb2SmEr2Tm2
_symmetry_space_group_name_H-M 'C 1 2/m 1'
_symmetry_Int_Tables_number 12
_symmetry_space_group_name_Hall '-C 2y'
_cell_length_a 17.5118
_cell_length_b 3.4793
_cell_length_c 8.2783
_cell_angle_alpha 90.00
_cell_angle_beta 116.52
_cell_angle_gamma 90.00
loop_
_atom_site_label
_atom_site_type_symbol
_atom_site_fract_x
_atom_site_fract_y
_atom_site_fract_z
_atom_site_occupancy
Tb1 Tb 0.1491 0.0000 0.3892 1
Sm1 Sm 0.0000 0.5000 0.5000 1
Er1 Er 0.2106 0.5000 0.7987 1
Tm1 Tm 0.0713 0.0000 0.9099 1
```

Largest 10 diffraction maxima, by angle, 2θ from 5° to 70°:
2θ = 27.82°, intensity 79, hkl 1 1 -1
2θ = 30.81°, intensity 100, hkl 6 0 -1
2θ = 30.97°, intensity 89, hkl 2 0 2
2θ = 33.14°, intensity 71, hkl 4 0 -3
2θ = 34.26°, intensity 92, hkl 3 1 -2
2θ = 35.99°, intensity 74, hkl 3 1 1
2θ = 38.67°, intensity 39, hkl 5 1 0
2θ = 54.06°, intensity 36, hkl 1 1 -4
2θ = 62.26°, intensity 51, hkl 6 2 -1
2θ = 63.65°, intensity 44, hkl 4 2 -3

---

(5)
# Tb2Sm2ErTm
Theoretical X-ray powder pattern, λ = 1.5418 Å (Cu Kα). Input: a DFT-relaxed cell (PBE, Alexandria).

```
data_Tb2Sm2ErTm
_symmetry_space_group_name_H-M 'P m m a'
_symmetry_Int_Tables_number 51
_symmetry_space_group_name_Hall '-P 2a 2a'
_cell_length_a 6.9767
_cell_length_b 5.6181
_cell_length_c 9.7271
_cell_angle_alpha 90.00
_cell_angle_beta 90.00
_cell_angle_gamma 90.00
loop_
_atom_site_label
_atom_site_type_symbol
_atom_site_fract_x
_atom_site_fract_y
_atom_site_fract_z
_atom_site_occupancy
Tb1 Tb 0.2500 0.0000 0.1621 1
Tb2 Tb 0.2500 0.5000 0.6697 1
Sm1 Sm 0.0000 0.5000 0.0000 1
Sm2 Sm 0.2500 0.0000 0.8224 1
Er1 Er 0.2500 0.5000 0.3416 1
Tm1 Tm 0.0000 0.0000 0.5000 1
```

Largest 10 diffraction maxima, by angle, 2θ from 5° to 70°:
2θ = 25.54°, intensity 6, hkl 2 0 0
2θ = 31.56°, intensity 92, hkl 2 1 1
2θ = 31.86°, intensity 100, hkl 0 2 0
2θ = 41.27°, intensity 11, hkl 2 2 0
2θ = 45.46°, intensity 34, hkl 2 2 2
2θ = 52.46°, intensity 8, hkl 4 0 0
2θ = 56.59°, intensity 35, hkl 2 3 1
2θ = 56.78°, intensity 19, hkl 0 3 3
2θ = 62.70°, intensity 29, hkl 4 2 0
2θ = 66.60°, intensity 12, hkl 0 4 0

---

(6)
# Tb2Sm2Y4Er
Theoretical X-ray powder pattern, λ = 1.5418 Å (Cu Kα). Input: a DFT-relaxed cell (PBE, Alexandria).

```
data_Tb2Sm2Y4Er
_symmetry_space_group_name_H-M 'C 1 2/m 1'
_symmetry_Int_Tables_number 12
_symmetry_space_group_name_Hall '-C 2y'
_cell_length_a 18.7213
_cell_length_b 3.6060
_cell_length_c 9.5837
_cell_angle_alpha 90.00
_cell_angle_beta 115.73
_cell_angle_gamma 90.00
loop_
_atom_site_label
_atom_site_type_symbol
_atom_site_fract_x
_atom_site_fract_y
_atom_site_fract_z
_atom_site_occupancy
Tb1 Tb 0.1481 0.0000 0.1651 1
Sm1 Sm 0.1656 0.5000 0.4984 1
Y1 Y 0.0190 0.5000 0.8341 1
Y2 Y 0.1853 0.0000 0.8339 1
Er1 Er 0.0000 0.0000 0.5000 1
```

Largest 10 diffraction maxima, by angle, 2θ from 5° to 70°:
2θ = 28.81°, intensity 46, hkl 3 1 -1
2θ = 31.08°, intensity 48, hkl 0 0 3
2θ = 31.82°, intensity 100, hkl 6 0 0
2θ = 33.52°, intensity 89, hkl 3 1 1
2θ = 40.13°, intensity 18, hkl 3 1 2
2θ = 50.65°, intensity 37, hkl 0 2 0
2θ = 57.94°, intensity 19, hkl 3 1 4
2θ = 60.62°, intensity 42, hkl 9 1 1
2θ = 61.07°, intensity 15, hkl 6 2 0
2θ = 62.11°, intensity 15, hkl 6 2 -3

---

(7)
# TbSm6YEr2
Theoretical X-ray powder pattern, λ = 1.5418 Å (Cu Kα). Input: a DFT-relaxed cell (PBE, Alexandria).

```
data_TbSm6YEr2
_symmetry_space_group_name_H-M 'C 1 2/c 1'
_symmetry_Int_Tables_number 15
_symmetry_space_group_name_Hall '-C 2yc'
_cell_length_a 9.1551
_cell_length_b 15.2092
_cell_length_c 9.6335
_cell_angle_alpha 90.00
_cell_angle_beta 97.66
_cell_angle_gamma 90.00
loop_
_atom_site_label
_atom_site_type_symbol
_atom_site_fract_x
_atom_site_fract_y
_atom_site_fract_z
_atom_site_occupancy
Tb1 Tb 0.0000 0.0267 0.2500 1
Sm1 Sm 0.0625 0.1800 0.9455 1
Sm2 Sm 0.1002 0.3921 0.1204 1
Sm3 Sm 0.2095 0.2254 0.3163 1
Y1 Y 0.0000 0.4088 0.7500 1
Er1 Er 0.2496 0.0501 0.5449 1
```

Largest 10 diffraction maxima, by angle, 2θ from 5° to 70°:
2θ = 27.85°, intensity 19, hkl 2 2 -2
2θ = 28.38°, intensity 44, hkl 1 3 2
2θ = 30.40°, intensity 99, hkl 3 1 -1
2θ = 31.01°, intensity 38, hkl 1 5 0
2θ = 31.27°, intensity 100, hkl 2 2 2
2θ = 32.04°, intensity 30, hkl 1 5 -1
2θ = 33.60°, intensity 39, hkl 1 3 -3
2θ = 34.28°, intensity 13, hkl 2 2 -3
2θ = 38.15°, intensity 13, hkl 1 1 -4
2θ = 58.92°, intensity 15, hkl 2 0 -6

---

(8)
# Tb2SmY2Er2
Theoretical X-ray powder pattern, λ = 1.5418 Å (Cu Kα). Input: a DFT-relaxed cell (PBE, Alexandria).

```
data_Tb2SmY2Er2
_symmetry_space_group_name_H-M 'C 1 2/m 1'
_symmetry_Int_Tables_number 12
_symmetry_space_group_name_Hall '-C 2y'
_cell_length_a 11.2706
_cell_length_b 5.0274
_cell_length_c 7.9548
_cell_angle_alpha 90.00
_cell_angle_beta 98.21
_cell_angle_gamma 90.00
loop_
_atom_site_label
_atom_site_type_symbol
_atom_site_fract_x
_atom_site_fract_y
_atom_site_fract_z
_atom_site_occupancy
Tb1 Tb 0.0718 0.0000 0.2121 1
Sm1 Sm 0.0000 0.5000 0.5000 1
Y1 Y 0.2136 0.0000 0.6452 1
Er1 Er 0.1423 0.5000 0.9301 1
```

Largest 10 diffraction maxima, by angle, 2θ from 5° to 70°:
2θ = 11.24°, intensity 3, hkl 0 0 1
2θ = 30.77°, intensity 100, hkl 1 1 2
2θ = 35.65°, intensity 17, hkl 4 0 1
2θ = 35.69°, intensity 34, hkl 0 2 0
2θ = 51.26°, intensity 6, hkl 6 0 -2
2θ = 51.37°, intensity 30, hkl 4 2 1
2θ = 61.03°, intensity 21, hkl 7 1 0
2θ = 61.11°, intensity 21, hkl 1 3 2
2θ = 64.04°, intensity 6, hkl 6 2 -2
2θ = 64.15°, intensity 6, hkl 2 2 4

---

(9)
# Tb2Sm2YEr2
Theoretical X-ray powder pattern, λ = 1.5418 Å (Cu Kα). Input: a DFT-relaxed cell (PBE, Alexandria).

```
data_Tb2Sm2YEr2
_symmetry_space_group_name_H-M 'C 1 2/m 1'
_symmetry_Int_Tables_number 12
_symmetry_space_group_name_Hall '-C 2y'
_cell_length_a 11.6935
_cell_length_b 3.5204
_cell_length_c 11.8007
_cell_angle_alpha 90.00
_cell_angle_beta 109.41
_cell_angle_gamma 90.00
loop_
_atom_site_label
_atom_site_type_symbol
_atom_site_fract_x
_atom_site_fract_y
_atom_site_fract_z
_atom_site_occupancy
Tb1 Tb 0.0517 0.0000 0.2708 1
Sm1 Sm 0.1702 0.0000 0.5844 1
Y1 Y 0.0000 0.5000 0.0000 1
Er1 Er 0.2250 0.5000 0.8624 1
```

Largest 10 diffraction maxima, by angle, 2θ from 5° to 70°:
2θ = 28.56°, intensity 48, hkl 1 1 1
2θ = 30.71°, intensity 71, hkl 4 0 -1
2θ = 30.81°, intensity 84, hkl 2 0 -4
2θ = 32.53°, intensity 100, hkl 1 1 2
2θ = 33.28°, intensity 56, hkl 2 0 3
2θ = 35.28°, intensity 72, hkl 3 1 -2
2θ = 38.01°, intensity 31, hkl 3 1 -3
2θ = 51.83°, intensity 37, hkl 5 1 1
2θ = 54.02°, intensity 25, hkl 1 1 -6
2θ = 61.66°, intensity 46, hkl 2 2 -4

---

(10)
# SmEr3Tc
Theoretical X-ray powder pattern, λ = 1.5418 Å (Cu Kα). Input: a DFT-relaxed cell (PBE, Alexandria).

```
data_SmEr3Tc
_symmetry_space_group_name_H-M 'P m m n'
_symmetry_Int_Tables_number 59
_cell_length_a 4.9252
_cell_length_b 8.1694
_cell_length_c 6.8809
_cell_angle_alpha 90.00
_cell_angle_beta 90.00
_cell_angle_gamma 90.00
loop_
_symmetry_equiv_pos_as_xyz
'x,y,z'
'-x,-y,-z'
'-x+1/2,-y+1/2,z'
'x+1/2,y+1/2,-z'
'x+1/2,-y,-z'
'-x+1/2,y,z'
'-x,y+1/2,-z'
'x,-y+1/2,z'
loop_
_atom_site_label
_atom_site_type_symbol
_atom_site_fract_x
_atom_site_fract_y
_atom_site_fract_z
_atom_site_occupancy
Sm1 Sm 0.2500 0.2500 0.0778 1
Er1 Er 0.2500 0.5474 0.6767 1
Er2 Er 0.2500 0.7500 0.2564 1
Tc1 Tc 0.2500 0.2500 0.4819 1
```

Largest 10 diffraction maxima, by angle, 2θ from 5° to 70°:
2θ = 12.87°, intensity 13, hkl 0 0 1
2θ = 31.28°, intensity 100, hkl 1 2 1
2θ = 31.73°, intensity 25, hkl 1 0 2
2θ = 33.62°, intensity 56, hkl 1 1 2
2θ = 35.45°, intensity 15, hkl 0 3 1
2θ = 36.49°, intensity 38, hkl 2 0 0
2θ = 37.75°, intensity 15, hkl 1 3 0
2θ = 44.35°, intensity 11, hkl 0 4 0
2θ = 62.44°, intensity 14, hkl 3 2 1
2θ = 66.09°, intensity 14, hkl 1 5 2

---

(11)
# Sm3ErTc8
Theoretical X-ray powder pattern, λ = 1.5418 Å (Cu Kα). Input: a DFT-relaxed cell (PBE, Alexandria).

```
data_Sm3ErTc8
_symmetry_space_group_name_H-M 'R 3 m'
_symmetry_Int_Tables_number 160
_symmetry_space_group_name_Hall 'R 3 -2"'
_cell_length_a 5.4172
_cell_length_b 5.4172
_cell_length_c 26.8928
_cell_angle_alpha 90.00
_cell_angle_beta 90.00
_cell_angle_gamma 120.00
loop_
_atom_site_label
_atom_site_type_symbol
_atom_site_fract_x
_atom_site_fract_y
_atom_site_fract_z
_atom_site_occupancy
Sm1 Sm 0.0000 0.0000 0.0000 1
Sm2 Sm 0.0000 0.0000 0.1251 1
Sm3 Sm 0.0000 0.0000 0.4999 1
Er1 Er 0.0000 0.0000 0.6245 1
Tc1 Tc 0.0000 0.0000 0.3123 1
Tc2 Tc 0.0000 0.0000 0.8125 1
Tc3 Tc 0.0013 0.5007 0.5634 1
Tc4 Tc 0.1675 0.3349 0.3947 1
```

Largest 10 diffraction maxima, by angle, 2θ from 5° to 70°:
2θ = 32.77°, intensity 43, hkl 0 1 8
2θ = 33.07°, intensity 42, hkl 1 1 0
2θ = 38.59°, intensity 51, hkl 1 0 10
2θ = 38.85°, intensity 100, hkl 1 1 6
2θ = 38.98°, intensity 50, hkl 2 0 2
2θ = 40.74°, intensity 40, hkl 0 2 4
2θ = 62.77°, intensity 24, hkl 2 1 10
2θ = 62.95°, intensity 24, hkl 3 0 6
2θ = 68.70°, intensity 26, hkl 0 2 16
2θ = 69.39°, intensity 25, hkl 2 2 0

---

(12)
# Sm2Er3Tc2
Theoretical X-ray powder pattern, λ = 1.5418 Å (Cu Kα). Input: a DFT-relaxed cell (PBE, Alexandria).

```
data_Sm2Er3Tc2
_symmetry_space_group_name_H-M 'C 1 2/m 1'
_symmetry_Int_Tables_number 12
_symmetry_space_group_name_Hall '-C 2y'
_cell_length_a 11.8981
_cell_length_b 3.9400
_cell_length_c 8.4719
_cell_angle_alpha 90.00
_cell_angle_beta 112.97
_cell_angle_gamma 90.00
loop_
_atom_site_label
_atom_site_type_symbol
_atom_site_fract_x
_atom_site_fract_y
_atom_site_fract_z
_atom_site_occupancy
Sm1 Sm 0.1612 0.0000 0.3085 1
Er1 Er 0.0000 0.5000 0.5000 1
Er2 Er 0.1263 0.5000 0.9287 1
Tc1 Tc 0.1725 0.0000 0.7150 1
```

Largest 10 diffraction maxima, by angle, 2θ from 5° to 70°:
2θ = 31.01°, intensity 42, hkl 1 1 -2
2θ = 31.81°, intensity 55, hkl 2 0 -3
2θ = 32.08°, intensity 100, hkl 3 1 -1
2θ = 32.99°, intensity 53, hkl 2 0 2
2θ = 33.46°, intensity 35, hkl 3 1 0
2θ = 34.79°, intensity 50, hkl 3 1 -2
2θ = 35.54°, intensity 59, hkl 1 1 2
2θ = 39.62°, intensity 39, hkl 1 1 -3
2θ = 46.07°, intensity 39, hkl 0 2 0
2θ = 59.22°, intensity 35, hkl 0 0 5